Simulated powder X-ray diffraction pattern of HoGa6Co6 for Cu Kα (λ = 1.5418 Å), from a crystal structure in the Materials Project, relaxed with GGA-PBE.
Neutral-atom scattering factors, no anomalous dispersion.

Structure:
```
HoGa6Co6
1.0
-2.5074 4.0911 4.3161
2.5074 -4.0911 4.3161
2.5074 4.0911 -4.3161
Ho Ga Co
1 6 6
direct
0.0000 0.0000 0.0000
0.1862 0.6862 0.5000
0.3423 0.0000 0.3423
0.3454 0.3454 0.0000
0.6546 0.6546 0.0000
0.6577 0.0000 0.6577
0.8138 0.3138 0.5000
0.0000 0.0000 0.5000
0.0000 0.5000 0.0000
0.2382 0.5000 0.7382
0.5000 0.0000 0.0000
0.5000 0.5000 0.5000
0.7618 0.5000 0.2618
```

Top 10 peaks for 2θ from 10° to 90°, most intense first:
d [Å]	I (rel.)
2.131	100.0
2.496	67.2
2.168	56.6
2.095	54.6
2.138	53.8
1.916	48.4
2.046	44.7
2.507	36.1
2.158	32.6
2.396	31.0